# Sm6Ge3Se14
Simulated powder diffractogram, Cu Kα (λ = 1.5418 Å). Input: a structure optimized by DFT (GGA-PBE).
Intensities are scaled so that the largest is 100.

Cell: 10.601 10.601 6.065 Å, 90.00 90.00 120.00°
Sites, in units of the cell vectors:
1 Sm 0.024 0.561 0.000
2 Sm 0.310 0.107 0.501
3 Sm 0.439 0.464 0.000
4 Sm 0.536 0.976 0.000
5 Sm 0.797 0.690 0.501
6 Sm 0.893 0.203 0.501
7 Ge 0.000 0.000 0.920
8 Ge 0.333 0.667 0.418
9 Ge 0.667 0.333 0.265
10 Se 0.000 0.000 0.308
11 Se 0.085 0.849 0.755
12 Se 0.151 0.236 0.755
13 Se 0.183 0.431 0.253
14 Se 0.249 0.817 0.253
15 Se 0.333 0.667 0.806
16 Se 0.408 0.172 0.025
17 Se 0.502 0.427 0.518
18 Se 0.569 0.751 0.253
19 Se 0.573 0.075 0.518
20 Se 0.763 0.592 0.025
21 Se 0.764 0.915 0.755
22 Se 0.828 0.237 0.025
23 Se 0.925 0.498 0.518

Peak list (6 most intense, 2θ from 5° to 70°, by angle)
2θ (°), intensity
24.3, 65.9
29.7, 67.9
32.8, 63.2
33.8, 89.8
35.2, 81.3
35.5, 100.0

***

# SnGeSe2
Simulated powder diffractogram, Cu Kα (λ = 1.5418 Å). Input: a structure optimized by DFT (GGA-PBE).
Intensities are scaled so that the largest is 100.

Cell: 4.038 4.573 11.446 Å, 90.00 90.00 90.00°
Sites, in units of the cell vectors:
1 Sn 0.000 0.147 0.000
2 Sn 0.000 0.853 0.500
3 Ge 0.500 0.373 0.240
4 Ge 0.500 0.627 0.740
5 Se 0.000 0.260 0.758
6 Se 0.000 0.740 0.258
7 Se 0.500 0.266 0.460
8 Se 0.500 0.734 0.960

Peak list (6 most intense, 2θ from 5° to 70°, by angle)
2θ (°), intensity
24.9, 22.5
30.5, 100.0
31.3, 43.1
37.9, 28.8
44.9, 19.2
50.0, 25.3

***

# SnGe4Te4Se
Simulated powder diffractogram, Cu Kα (λ = 1.5418 Å). Input: a structure optimized by DFT (GGA-PBE).
Intensities are scaled so that the largest is 100.

Cell: 18.331 18.331 18.331 Å, 13.23 13.23 13.23°
Sites, in units of the cell vectors:
1 Sn 0.000 0.000 0.000
2 Ge 0.205 0.205 0.205
3 Ge 0.406 0.406 0.406
4 Ge 0.604 0.604 0.604
5 Ge 0.805 0.805 0.805
6 Te 0.112 0.112 0.112
7 Te 0.511 0.511 0.511
8 Te 0.712 0.712 0.712
9 Te 0.911 0.911 0.911
10 Se 0.307 0.307 0.307

Peak list (6 most intense, 2θ from 5° to 70°, by angle)
2θ (°), intensity
29.4, 100.0
41.3, 32.3
42.8, 38.0
52.8, 19.5
61.0, 10.1
68.1, 10.4

***

# Tb6Ge3Se14
Simulated powder diffractogram, Cu Kα (λ = 1.5418 Å). Input: a structure optimized by DFT (GGA-PBE).
Intensities are scaled so that the largest is 100.

Cell: 10.453 10.453 6.035 Å, 90.00 90.00 120.00°
Sites, in units of the cell vectors:
1 Tb 0.025 0.561 0.000
2 Tb 0.309 0.107 0.501
3 Tb 0.439 0.464 0.000
4 Tb 0.536 0.975 0.000
5 Tb 0.797 0.691 0.501
6 Tb 0.893 0.203 0.501
7 Ge 0.000 0.000 0.920
8 Ge 0.333 0.667 0.419
9 Ge 0.667 0.333 0.268
10 Se 0.000 0.000 0.310
11 Se 0.086 0.848 0.754
12 Se 0.152 0.238 0.754
13 Se 0.181 0.429 0.252
14 Se 0.248 0.819 0.252
15 Se 0.333 0.667 0.808
16 Se 0.408 0.172 0.026
17 Se 0.503 0.428 0.523
18 Se 0.571 0.752 0.252
19 Se 0.572 0.075 0.523
20 Se 0.762 0.914 0.754
21 Se 0.764 0.592 0.026
22 Se 0.828 0.236 0.026
23 Se 0.925 0.497 0.523

Peak list (6 most intense, 2θ from 5° to 70°, by angle)
2θ (°), intensity
24.6, 40.0
30.0, 35.6
33.2, 33.7
34.3, 73.7
35.8, 100.0
39.8, 34.7

***

# Tl4GeSe4
Simulated powder diffractogram, Cu Kα (λ = 1.5418 Å). Input: a structure optimized by DFT (GGA-PBE).
Intensities are scaled so that the largest is 100.

Cell: 7.105 7.105 25.419 Å, 98.83 98.83 64.00°
Sites, in units of the cell vectors:
1 Tl 0.000 0.000 0.000
2 Tl 0.000 0.000 0.500
3 Tl 0.057 0.325 0.663
4 Tl 0.106 0.673 0.178
5 Tl 0.180 0.820 0.750
6 Tl 0.274 0.345 0.497
7 Tl 0.325 0.057 0.163
8 Tl 0.327 0.894 0.322
9 Tl 0.345 0.274 0.997
10 Tl 0.655 0.726 0.003
11 Tl 0.673 0.106 0.678
12 Tl 0.675 0.943 0.837
13 Tl 0.726 0.655 0.503
14 Tl 0.820 0.180 0.250
15 Tl 0.894 0.327 0.822
16 Tl 0.943 0.675 0.337
17 Ge 0.317 0.558 0.876
18 Ge 0.442 0.683 0.624
19 Ge 0.558 0.317 0.376
20 Ge 0.683 0.442 0.124
21 Se 0.023 0.585 0.917
22 Se 0.097 0.699 0.619
23 Se 0.301 0.903 0.881
24 Se 0.302 0.386 0.788
25 Se 0.333 0.639 0.424
26 Se 0.361 0.667 0.076
27 Se 0.386 0.302 0.288
28 Se 0.415 0.977 0.583
29 Se 0.585 0.023 0.417
30 Se 0.614 0.698 0.712
31 Se 0.639 0.333 0.924
32 Se 0.667 0.361 0.576
33 Se 0.698 0.614 0.212
34 Se 0.699 0.097 0.119
35 Se 0.903 0.301 0.381
36 Se 0.977 0.415 0.083

Peak list (6 most intense, 2θ from 5° to 70°, by angle)
2θ (°), intensity
27.1, 100.0
27.7, 52.0
28.7, 50.1
29.2, 47.8
29.9, 85.7
42.6, 56.5

***

# Tl2GeSe3
Simulated powder diffractogram, Cu Kα (λ = 1.5418 Å). Input: a structure optimized by DFT (GGA-PBE).
Intensities are scaled so that the largest is 100.

Cell: 7.093 7.239 8.960 Å, 89.59 68.23 66.45°
Sites, in units of the cell vectors:
1 Tl 0.131 0.043 0.167
2 Tl 0.270 0.319 0.602
3 Tl 0.730 0.681 0.398
4 Tl 0.869 0.957 0.833
5 Ge 0.429 0.450 0.185
6 Ge 0.571 0.550 0.815
7 Se 0.227 0.537 0.007
8 Se 0.237 0.708 0.414
9 Se 0.487 0.887 0.765
10 Se 0.513 0.113 0.235
11 Se 0.763 0.292 0.586
12 Se 0.773 0.463 0.993

Peak list (6 most intense, 2θ from 5° to 70°, by angle)
2θ (°), intensity
20.8, 55.9
25.3, 94.1
27.5, 83.7
27.6, 100.0
33.3, 55.4
36.0, 40.3

***

# UGeSe
Simulated powder diffractogram, Cu Kα (λ = 1.5418 Å). Input: a structure optimized by DFT (GGA-PBE).
Intensities are scaled so that the largest is 100.

Cell: 3.959 3.959 16.550 Å, 90.00 90.00 90.00°
Sites, in units of the cell vectors:
1 U 0.000 0.000 0.136
2 U 0.000 0.000 0.864
3 U 0.500 0.500 0.364
4 U 0.500 0.500 0.636
5 Ge 0.000 0.500 0.000
6 Ge 0.000 0.500 0.500
7 Ge 0.500 0.000 0.000
8 Ge 0.500 0.000 0.500
9 Se 0.000 0.000 0.317
10 Se 0.000 0.000 0.683
11 Se 0.500 0.500 0.183
12 Se 0.500 0.500 0.817

Peak list (6 most intense, 2θ from 5° to 70°, by angle)
2θ (°), intensity
23.1, 53.5
32.0, 48.9
33.8, 41.0
38.8, 100.0
44.6, 39.9
45.8, 49.7

***

# ZrGeSe
Simulated powder diffractogram, Cu Kα (λ = 1.5418 Å). Input: a structure optimized by DFT (GGA-PBE).
Intensities are scaled so that the largest is 100.

Cell: 3.738 3.738 8.405 Å, 90.00 90.00 90.00°
Sites, in units of the cell vectors:
1 Zr 0.250 0.250 0.239
2 Zr 0.750 0.750 0.761
3 Ge 0.250 0.750 0.500
4 Ge 0.750 0.250 0.500
5 Se 0.250 0.250 0.879
6 Se 0.750 0.750 0.121

Peak list (6 most intense, 2θ from 5° to 70°, by angle)
2θ (°), intensity
31.9, 20.8
35.6, 55.6
40.3, 100.0
48.7, 35.4
59.5, 19.1
65.0, 21.6